Diffraction record for PmPdAu. The powder XRD pattern is theoretical, not measured: it uses a structure optimized by DFT (PBE) and CuKα.
Lines closer than 0.1° are merged.

Structural model:
```
data_PmPdAu
_cell_length_a 3.7697
_cell_length_b 3.7697
_cell_length_c 9.1468
_cell_angle_alpha 90.00
_cell_angle_beta 90.00
_cell_angle_gamma 90.00
_symmetry_space_group_name_H-M 'I 4 m m'
_symmetry_Int_Tables_number 107
_symmetry_space_group_name_Hall 'I 4 -2'
loop_
_atom_site_label
_atom_site_fract_x
_atom_site_fract_y
_atom_site_fract_z
Pm1 0.0000 0.0000 0.0000
Pd1 0.0000 0.0000 0.6629
Au1 0.0000 0.0000 0.3308
```

Top 10 peaks for 2θ = 5–70°, sorted by position:
2θ = 19.4°, intensity 3, (0 0 2)
2θ = 25.6°, intensity 8, (1 0 1)
2θ = 33.6°, intensity 69, (1 1 0)
2θ = 38.0°, intensity 100, (1 0 3)
2θ = 39.1°, intensity 2, (1 1 2)
2θ = 48.3°, intensity 25, (2 0 0)
2θ = 52.7°, intensity 2, (1 1 4)
2θ = 55.4°, intensity 2, (2 1 1)
2θ = 60.8°, intensity 6, (0 0 6)
2θ = 63.0°, intensity 45, (2 1 3)

---

Diffraction record for NdBe2Cu5. The powder XRD pattern is theoretical, not measured: it uses a structure optimized by DFT (PBE) and CuKα.
Lines closer than 0.1° are merged.

Structural model:
```
data_NdBe2Cu5
_cell_length_a 3.5837
_cell_length_b 6.7859
_cell_length_c 9.0886
_cell_angle_alpha 90.00
_cell_angle_beta 90.00
_cell_angle_gamma 90.00
_symmetry_space_group_name_H-M 'I m m m'
_symmetry_Int_Tables_number 71
_symmetry_space_group_name_Hall '-I 2 2'
loop_
_atom_site_label
_atom_site_fract_x
_atom_site_fract_y
_atom_site_fract_z
Nd1 0.0000 0.0000 0.0000
Be1 0.0000 0.5000 0.2443
Cu1 0.0000 0.1852 0.3434
Cu2 0.0000 0.5000 0.0000
```

Top 10 peaks for 2θ = 5–70°, sorted by position:
2θ = 28.2°, intensity 30, (1 1 0)
2θ = 32.4°, intensity 24, (0 1 3)
2θ = 32.9°, intensity 51, (0 2 2)
2θ = 37.8°, intensity 94, (1 2 1)
2θ = 38.9°, intensity 100, (1 0 3)
2θ = 41.1°, intensity 17, (0 3 1)
2θ = 48.2°, intensity 29, (0 2 4)
2θ = 51.0°, intensity 24, (2 0 0)
2θ = 62.0°, intensity 16, (2 2 2)
2θ = 63.6°, intensity 24, (1 2 5)

---

Diffraction record for AcZn2NiAu. The powder XRD pattern is theoretical, not measured: it uses a structure optimized by DFT (PBE) and CuKα.
Lines closer than 0.1° are merged.

Structural model:
```
data_AcZn2NiAu
_cell_length_a 4.2965
_cell_length_b 4.3441
_cell_length_c 10.9014
_cell_angle_alpha 90.00
_cell_angle_beta 90.00
_cell_angle_gamma 90.00
_symmetry_space_group_name_H-M 'I m m 2'
_symmetry_Int_Tables_number 44
_symmetry_space_group_name_Hall 'I 2 -2'
loop_
_atom_site_label
_atom_site_fract_x
_atom_site_fract_y
_atom_site_fract_z
Ac1 0.0000 0.0000 0.0000
Zn1 0.0000 0.0000 0.3797
Zn2 0.0000 0.5000 0.2352
Ni1 0.0000 0.0000 0.6021
Au1 0.0000 0.5000 0.7392
```

Top 10 peaks for 2θ = 5–70°, sorted by position:
2θ = 22.0°, intensity 18, (0 1 1)
2θ = 22.2°, intensity 13, (1 0 1)
2θ = 32.1°, intensity 19, (0 1 3)
2θ = 32.3°, intensity 23, (1 0 3)
2θ = 32.9°, intensity 13, (0 0 4)
2θ = 33.6°, intensity 100, (1 1 2)
2θ = 41.6°, intensity 21, (0 2 0)
2θ = 42.1°, intensity 20, (2 0 0)
2θ = 59.2°, intensity 13, (1 1 6)
2θ = 60.6°, intensity 14, (2 2 0)

---

Diffraction record for Zr6ZnRu. The powder XRD pattern is theoretical, not measured: it uses a structure optimized by DFT (PBE) and CuKα.
Lines closer than 0.1° are merged.

Structural model:
```
data_Zr6ZnRu
_cell_length_a 4.6465
_cell_length_b 4.6465
_cell_length_c 15.2935
_cell_angle_alpha 90.00
_cell_angle_beta 90.00
_cell_angle_gamma 90.00
_symmetry_space_group_name_H-M 'I 4/m m m'
_symmetry_Int_Tables_number 139
_symmetry_space_group_name_Hall '-I 4 2'
loop_
_atom_site_label
_atom_site_fract_x
_atom_site_fract_y
_atom_site_fract_z
Zr1 0.0000 0.0000 0.2501
Zr2 0.0000 0.5000 0.1105
Zn1 0.0000 0.0000 0.0000
Ru1 0.0000 0.0000 0.5000
```

Top 10 peaks for 2θ = 5–70°, sorted by position:
2θ = 35.2°, intensity 2, (0 0 6)
2θ = 36.0°, intensity 100, (1 1 4)
2θ = 38.8°, intensity 44, (2 0 0)
2θ = 45.0°, intensity 3, (1 1 6)
2θ = 47.6°, intensity 9, (0 0 8)
2θ = 53.4°, intensity 3, (2 0 6)
2θ = 56.0°, intensity 14, (2 2 0)
2θ = 63.0°, intensity 15, (2 0 8)
2θ = 67.6°, intensity 3, (1 1 10)
2θ = 68.4°, intensity 29, (3 1 4)

---

Please write out number 4 again, unchanged.
Diffraction record for Zr6ZnRu. The powder XRD pattern is theoretical, not measured: it uses a structure optimized by DFT (PBE) and CuKα.
Lines closer than 0.1° are merged.

Structural model:
```
data_Zr6ZnRu
_cell_length_a 4.6465
_cell_length_b 4.6465
_cell_length_c 15.2935
_cell_angle_alpha 90.00
_cell_angle_beta 90.00
_cell_angle_gamma 90.00
_symmetry_space_group_name_H-M 'I 4/m m m'
_symmetry_Int_Tables_number 139
_symmetry_space_group_name_Hall '-I 4 2'
loop_
_atom_site_label
_atom_site_fract_x
_atom_site_fract_y
_atom_site_fract_z
Zr1 0.0000 0.0000 0.2501
Zr2 0.0000 0.5000 0.1105
Zn1 0.0000 0.0000 0.0000
Ru1 0.0000 0.0000 0.5000
```

Top 10 peaks for 2θ = 5–70°, sorted by position:
2θ = 35.2°, intensity 2, (0 0 6)
2θ = 36.0°, intensity 100, (1 1 4)
2θ = 38.8°, intensity 44, (2 0 0)
2θ = 45.0°, intensity 3, (1 1 6)
2θ = 47.6°, intensity 9, (0 0 8)
2θ = 53.4°, intensity 3, (2 0 6)
2θ = 56.0°, intensity 14, (2 2 0)
2θ = 63.0°, intensity 15, (2 0 8)
2θ = 67.6°, intensity 3, (1 1 10)
2θ = 68.4°, intensity 29, (3 1 4)

---

What did the fourth record say?
Diffraction record for Zr6ZnRu. The powder XRD pattern is theoretical, not measured: it uses a structure optimized by DFT (PBE) and CuKα.
Lines closer than 0.1° are merged.

Structural model:
```
data_Zr6ZnRu
_cell_length_a 4.6465
_cell_length_b 4.6465
_cell_length_c 15.2935
_cell_angle_alpha 90.00
_cell_angle_beta 90.00
_cell_angle_gamma 90.00
_symmetry_space_group_name_H-M 'I 4/m m m'
_symmetry_Int_Tables_number 139
_symmetry_space_group_name_Hall '-I 4 2'
loop_
_atom_site_label
_atom_site_fract_x
_atom_site_fract_y
_atom_site_fract_z
Zr1 0.0000 0.0000 0.2501
Zr2 0.0000 0.5000 0.1105
Zn1 0.0000 0.0000 0.0000
Ru1 0.0000 0.0000 0.5000
```

Top 10 peaks for 2θ = 5–70°, sorted by position:
2θ = 35.2°, intensity 2, (0 0 6)
2θ = 36.0°, intensity 100, (1 1 4)
2θ = 38.8°, intensity 44, (2 0 0)
2θ = 45.0°, intensity 3, (1 1 6)
2θ = 47.6°, intensity 9, (0 0 8)
2θ = 53.4°, intensity 3, (2 0 6)
2θ = 56.0°, intensity 14, (2 2 0)
2θ = 63.0°, intensity 15, (2 0 8)
2θ = 67.6°, intensity 3, (1 1 10)
2θ = 68.4°, intensity 29, (3 1 4)